Record 1
Simulated powder diffractogram of Y3Sn2Ge for Cu Kα, 1.54184 Å, from DFT lattice parameters and positions (GGA-PBE).
Lines closer than 0.1° are merged.

Structure:
Cell: 12.4229 4.3368 11.9367 Å, 90.00 90.00 90.00°
Space group Pnma (No. 62)
Unique sites:
Y 0.0518 0.2500 0.1202 x4
Y 0.1155 0.7500 0.5488 x4
Y 0.2389 0.2500 0.7828 x4
Sn 0.0077 0.2500 0.7042 x4
Sn 0.1879 0.7500 0.0044 x4
Ge 0.1265 0.2500 0.3721 x4

Principal peaks in the range 5° ≤ 2θ ≤ 70°, by angle:
2θ (°), I/Imax, hkl
29.24, 64.0, 2 1 2
30.49, 100.0, 0 1 3
30.79, 39.0, 1 0 4
32.50, 45.6, 4 0 2
33.48, 63.7, 3 1 2
36.37, 77.2, 4 1 1
37.29, 26.9, 1 1 4
39.42, 47.5, 2 1 4
41.65, 65.9, 0 2 0
43.77, 34.6, 3 0 5


Record 2
Simulated powder diffractogram of Zr2ScH3 for Cu Kα, 1.54184 Å, from DFT lattice parameters and positions (GGA-PBE).
Lines closer than 0.1° are merged.

Structure:
Cell: 9.7708 5.2564 6.1198 Å, 90.00 110.96 90.00°
Space group C2/c (No. 15)
Unique sites:
Zr 0.1658 0.0207 0.0816 x8
Sc 0.0000 0.4749 0.2500 x4
H 0.0000 0.0671 0.2500 x4
H 0.1687 0.4258 0.0829 x8

Principal peaks in the range 5° ≤ 2θ ≤ 70°, by angle:
2θ (°), I/Imax, hkl
19.48, 18.4, 1 1 0
33.93, 67.4, 1 1 -2
34.08, 100.0, 0 2 0
40.85, 21.6, 4 0 -2
42.94, 18.6, 2 0 2
54.24, 17.7, 4 2 -2
55.94, 15.0, 2 2 2
60.94, 16.5, 6 0 0
61.03, 10.2, 3 3 0
69.89, 7.7, 5 1 -4